Mg2H7: theoretical PXRD pattern (Cu Kα X-rays), based on the PBE geometry in Alexandria.

Top 6 peaks for 15 to 90 degrees two-theta, sorted by position:
Position (°2θ), I (rel.)
29.5, 100.0
42.2, 85.0
52.4, 36.7
61.2, 17.0
69.4, 34.9
77.2, 26.4

Structural model:
```
Mg2H7
1.0
0.000 3.027 3.027
3.027 0.000 3.027
3.027 3.027 0.000
Mg H
2 7
Direct
0.250 0.250 0.250
0.750 0.750 0.750
0.000 0.000 0.000
0.257 0.257 0.743
0.257 0.743 0.257
0.257 0.743 0.743
0.743 0.257 0.257
0.743 0.257 0.743
0.743 0.743 0.257
```


Mn2Pd3Au2: theoretical PXRD pattern (Cu Kα X-rays), based on the PBE geometry in Alexandria.

Top 10 peaks for 15 to 90 degrees two-theta, sorted by position:
Position (°2θ), I (rel.)
24.8, 22.0
39.0, 99.7
39.1, 100.0
45.0, 66.2
46.3, 30.8
66.6, 40.5
78.8, 12.1
79.0, 24.5
79.1, 12.4
80.9, 24.0

Structural model:
```
Mn2Pd3Au2
1.0
4.502 -1.960 0.000
4.502 1.960 0.000
-0.876 0.000 6.316
Mn Pd Au
2 3 2
Direct
0.076 0.076 0.234
0.924 0.924 0.766
0.216 0.216 0.642
0.500 0.500 0.500
0.784 0.784 0.358
0.362 0.362 0.075
0.638 0.638 0.925
```